Record 1
Starting from a DFT-relaxed cell (GGA-PBE, Alexandria), the XRD peak list of Na2GeI4 was calculated for Cu Kα (λ = 1.5418 Å).

Atomic structure:
```
data_Na2GeI4
_chemical_formula_sum 'Na4 Ge2 I8'
_space_group_name_H-M_alt 'I -4 2 m'
_space_group_IT_number 121
_space_group_name_Hall 'I -4 2'
_cell_length_a 7.522
_cell_length_b 7.522
_cell_length_c 12.196
_cell_angle_alpha 90.00
_cell_angle_beta 90.00
_cell_angle_gamma 90.00
loop_
_atom_site_label
_atom_site_fract_x
_atom_site_fract_y
_atom_site_fract_z
Na1 0.000 0.500 0.250
Ge1 0.000 0.000 0.000
I1 0.237 0.237 0.118
```

Main lines, in order of falling intensity (5 to 70 degrees two-theta):
(hkl)	2theta	I/Imax
1 1 2	22.2	100
3 1 2	40.7	38
2 0 4	38.0	35
2 2 0	33.7	24
2 0 0	23.7	22
4 2 4	63.1	14

=====

Record 2
Starting from a DFT-relaxed cell (GGA-PBE, Alexandria), the XRD peak list of LaSb2TeOs was calculated for Cu Kα (λ = 1.5418 Å).

Atomic structure:
```
data_LaSb2TeOs
_chemical_formula_sum 'La1 Sb2 Te1 Os1'
_space_group_name_H-M_alt 'P 4/m m m'
_space_group_IT_number 123
_space_group_name_Hall '-P 4 2'
_cell_length_a 5.051
_cell_length_b 5.051
_cell_length_c 5.796
_cell_angle_alpha 90.00
_cell_angle_beta 90.00
_cell_angle_gamma 90.00
loop_
_atom_site_label
_atom_site_fract_x
_atom_site_fract_y
_atom_site_fract_z
La1 0.000 0.000 0.000
Sb1 0.000 0.500 0.500
Te1 0.500 0.500 0.000
Os1 0.500 0.500 0.500
```

Main lines, in order of falling intensity (5 to 70 degrees two-theta):
(hkl)	2theta	I/Imax
2 0 0	35.5	100
2 0 2	47.8	87
0 0 2	30.9	73
1 1 1	29.4	71
1 0 1	23.4	48
2 2 2	60.9	42

=====

Record 3
Starting from a DFT-relaxed cell (GGA-PBE, Alexandria), the XRD peak list of Zr3GeAs5 was calculated for Cu Kα (λ = 1.5418 Å).

Atomic structure:
```
data_Zr3GeAs5
_chemical_formula_sum 'Zr12 Ge4 As20'
_space_group_name_H-M_alt 'P 1 m 1'
_space_group_IT_number 6
_cell_length_a 6.795
_cell_length_b 3.710
_cell_length_c 27.638
_cell_angle_alpha 90.00
_cell_angle_beta 90.06
_cell_angle_gamma 90.00
loop_
_space_group_symop_operation_xyz
'x,y,z'
'x,-y,z'
loop_
_atom_site_label
_atom_site_fract_x
_atom_site_fract_y
_atom_site_fract_z
Zr1 0.000 0.000 0.000
Zr2 0.000 0.000 0.332
Zr3 0.455 0.500 0.224
Zr4 0.455 0.500 0.558
Zr5 0.455 0.500 0.892
Zr6 0.500 0.000 0.056
Zr7 0.500 0.000 0.389
Zr8 0.500 0.000 0.723
Zr9 0.955 0.500 0.830
Zr10 0.958 0.500 0.165
Zr11 0.958 0.500 0.498
Zr12 0.999 0.000 0.665
Ge1 0.356 0.500 0.126
Ge2 0.357 0.500 0.459
Ge3 0.358 0.500 0.793
Ge4 0.858 0.500 0.929
As1 0.114 0.000 0.098
As2 0.115 0.000 0.431
As3 0.116 0.000 0.764
As4 0.133 0.000 0.895
As5 0.142 0.000 0.228
As6 0.142 0.000 0.561
As7 0.312 0.500 0.327
As8 0.312 0.500 0.660
As9 0.313 0.500 0.994
As10 0.607 0.000 0.292
As11 0.607 0.000 0.625
As12 0.616 0.000 0.958
As13 0.634 0.000 0.827
As14 0.635 0.000 0.160
As15 0.635 0.000 0.493
As16 0.812 0.500 0.728
As17 0.813 0.500 0.062
As18 0.813 0.500 0.395
As19 0.851 0.500 0.597
As20 0.852 0.500 0.264
```

Main lines, in order of falling intensity (5 to 70 degrees two-theta):
(hkl)	2theta	I/Imax
1 1 -9	40.4	100
2 1 0	35.8	73
3 0 -6	44.6	43
1 1 -6	33.7	38
0 2 0	49.1	31
2 1 3	37.2	24

=====

What is the formula in the third record? Zr3GeAs5

=====

Which formula does entry 1 have? Na2GeI4